BaBiSbPt: calculated X-ray diffraction stick pattern (copper Kα), based on DFT lattice parameters and positions (PBE).

Most intense lines, 2θ = 10–90°, by angle:
d [Å]  two_theta  I_rel  hkl
3.098  28.8  100  1 3 1
3.013  29.6  37  1 5 0
2.683  33.4  21  0 6 1
2.593  34.6  22  1 5 1
2.545  35.3  46  0 0 2
2.485  36.1  43  2 0 0
2.153  42.0  41  1 7 1
1.944  46.7  21  1 5 2
1.811  50.4  15  1 9 1
1.778  51.4  34  2 0 2

a b c (Å): 4.971 18.942 5.090
angles (deg): 90.00 90.00 90.00
Space group Cmcm (No. 63)
Asymmetric unit:
Ba (0.000, 0.103, 0.250) [4 per cell]
Bi (0.000, 0.251, 0.750) [4 per cell]
Sb (0.000, 0.460, 0.250) [4 per cell]
Pt (0.000, 0.320, 0.250) [4 per cell]

Sm2Sc2CF5: calculated X-ray diffraction stick pattern (copper Kα), based on DFT lattice parameters and positions (PBE).

Most intense lines, 2θ = 10–90°, by angle:
d [Å]  two_theta  I_rel  hkl
6.640  13.3  100  2 0 0
3.512  25.4  22  2 0 -2
3.368  26.5  26  0 0 2
3.320  26.9  26  4 0 0
3.270  27.3  45  1 1 0
2.895  30.9  22  4 0 -2
2.684  33.4  37  3 1 0
2.449  36.7  74  1 1 -2
2.343  38.4  26  3 1 -2
2.213  40.8  25  6 0 0

a b c (Å): 14.083 3.374 7.144
angles (deg): 90.00 109.45 90.00
Space group C2/m (No. 12)
Asymmetric unit:
Sm (0.010, 0.000, 0.246) [4 per cell]
Sc (0.163, 0.500, 0.097) [4 per cell]
C (0.000, 0.500, 0.000) [2 per cell]
F (0.000, 0.500, 0.500) [2 per cell]
F (0.176, 0.000, 0.894) [4 per cell]
F (0.194, 0.000, 0.295) [4 per cell]

ErBiCl6: calculated X-ray diffraction stick pattern (copper Kα), based on DFT lattice parameters and positions (PBE).

Most intense lines, 2θ = 10–90°, by angle:
d [Å]  two_theta  I_rel  hkl
6.133  14.4  98  0 0 1
5.969  14.8  25  0 2 0
5.674  15.6  46  1 1 0
5.006  17.7  33  1 1 -1
3.386  26.3  67  2 0 -1
2.757  32.5  100  1 3 1
2.515  35.7  29  1 3 -2
1.989  45.6  36  0 6 0
1.913  47.5  33  2 0 2
1.892  48.1  29  3 3 0

a b c (Å): 6.887 11.937 6.549
angles (deg): 90.00 110.54 90.00
Space group C2 (No. 5)
Asymmetric unit:
Er (0.000, 0.000, 0.000) [2 per cell]
Bi (0.000, 0.668, 0.000) [2 per cell]
Cl (0.229, 0.840, 0.243) [4 per cell]
Cl (0.235, 0.006, 0.759) [4 per cell]
Cl (0.247, 0.155, 0.242) [4 per cell]